Hf4MoOs: computed PXRD pattern (copper Kα), based on the PBE geometry in Alexandria.
Intensities are scaled so that the largest is 100.

Atomic structure:
```
data_Hf4MoOs
_chemical_formula_sum 'Hf4 Mo1 Os1'
_cell_length_a 7.899
_cell_length_b 7.899
_cell_length_c 7.899
_cell_angle_alpha 33.27
_cell_angle_beta 33.27
_cell_angle_gamma 33.27
_space_group_name_H-M_alt 'P 1'
_space_group_IT_number 1
loop_
_space_group_symop_operation_xyz
'x,y,z'
loop_
_atom_site_label
_atom_site_type_symbol
_atom_site_fract_x
_atom_site_fract_y
_atom_site_fract_z
Hf1 Hf 0.124 0.124 0.124
Hf2 Hf 0.374 0.374 0.374
Hf3 Hf 0.626 0.626 0.626
Hf4 Hf 0.876 0.876 0.876
Mo1 Mo 0.500 0.500 0.500
Os1 Os 0.000 0.000 0.000
```

Main lines, sorted by position (2θ from 5° to 70°):
3.727 Å, 23.9 deg, rel. 10
3.696 Å, 24.1 deg, rel. 31
3.208 Å, 27.8 deg, rel. 46
2.275 Å, 39.6 deg, rel. 100
2.261 Å, 39.9 deg, rel. 98
1.933 Å, 47.0 deg, rel. 10
1.848 Å, 49.3 deg, rel. 10
1.604 Å, 57.5 deg, rel. 34
1.438 Å, 64.8 deg, rel. 9
1.431 Å, 65.2 deg, rel. 9